Entry 1:
Starting from the GGA-PBE geometry in Alexandria, the powder diffraction line list of Dy2Tm2Ge3 was computed for λ = 1.5418 Å (Cu Kα).
Peak positions follow from Bragg's law for the DFT cell and can differ from measured ones.

Main lines, sorted by position (10° ≤ 2θ ≤ 90°):
- (1 1 1), 2θ = 26.43°, I = 47
- (3 1 -1), 2θ = 29.74°, I = 100
- (2 0 2), 2θ = 31.28°, I = 56
- (3 1 -2), 2θ = 34.82°, I = 30
- (1 1 -3), 2θ = 42.11°, I = 36
- (0 2 0), 2θ = 43.31°, I = 29

Structure:
```
data_Dy2Tm2Ge3
_chemical_formula_sum 'Dy4 Tm4 Ge6'
_cell_length_a 13.7147
_cell_length_b 4.1769
_cell_length_c 7.5384
_cell_angle_alpha 90.00
_cell_angle_beta 106.01
_cell_angle_gamma 90.00
_space_group_name_H-M_alt 'C 1 2/m 1'
_space_group_IT_number 12
loop_
_space_group_symop_operation_xyz
'x,y,z'
'-x,-y,-z'
'-x,y,-z'
'x,-y,z'
'x+1/2,y+1/2,z'
'-x+1/2,-y+1/2,-z'
'-x+1/2,y+1/2,-z'
'x+1/2,-y+1/2,z'
loop_
_atom_site_label
_atom_site_fract_x
_atom_site_fract_y
_atom_site_fract_z
_atom_site_occupancy
Dy1 0.1262 0.0000 0.4014 1
Tm1 0.1567 0.5000 0.8391 1
Ge1 0.0000 0.5000 0.5000 1
Ge2 0.2192 0.5000 0.2327 1
```

***

Entry 2:
Starting from the GGA-PBE geometry in Alexandria, the powder diffraction line list of LaPmP2Pd2 was computed for λ = 1.5418 Å (Cu Kα).
Peak positions follow from Bragg's law for the DFT cell and can differ from measured ones.

Main lines, sorted by position (10° ≤ 2θ ≤ 90°):
- (0 1 1), 2θ = 26.70°, I = 18
- (0 1 2), 2θ = 33.30°, I = 100
- (1 1 0), 2θ = 42.46°, I = 45
- (2 0 2), 2θ = 55.00°, I = 24
- (1 1 4), 2θ = 64.48°, I = 25
- (1 2 2), 2θ = 71.87°, I = 21

Structure:
```
data_LaPmP2Pd2
_chemical_formula_sum 'La1 Pm1 P2 Pd2'
_cell_length_a 4.2574
_cell_length_b 4.2574
_cell_length_c 7.8720
_cell_angle_alpha 90.00
_cell_angle_beta 90.00
_cell_angle_gamma 120.00
_space_group_name_H-M_alt 'P -3 m 1'
_space_group_IT_number 164
_space_group_name_Hall '-P 3 2"'
loop_
_atom_site_label
_atom_site_fract_x
_atom_site_fract_y
_atom_site_fract_z
_atom_site_occupancy
La1 0.0000 0.0000 0.0000 1
Pm1 0.0000 0.0000 0.5000 1
P1 0.3333 0.6667 0.2576 1
Pd1 0.3333 0.6667 0.7447 1
```

***

Entry 3:
Starting from the GGA-PBE geometry in Alexandria, the powder diffraction line list of Sm2BRu3 was computed for λ = 1.5418 Å (Cu Kα).
Peak positions follow from Bragg's law for the DFT cell and can differ from measured ones.

Main lines, sorted by position (10° ≤ 2θ ≤ 90°):
- (1 0 3), 2θ = 34.31°, I = 99
- (1 1 2), 2θ = 35.82°, I = 92
- (0 2 0), 2θ = 36.12°, I = 72
- (0 1 5), 2θ = 38.05°, I = 100
- (1 2 3), 2θ = 50.67°, I = 65
- (2 1 5), 2θ = 70.83°, I = 32

Structure:
```
data_Sm2BRu3
_chemical_formula_sum 'Sm4 B2 Ru6'
_cell_length_a 3.2182
_cell_length_b 4.9730
_cell_length_c 13.4413
_cell_angle_alpha 90.00
_cell_angle_beta 90.00
_cell_angle_gamma 90.00
_space_group_name_H-M_alt 'I m m m'
_space_group_IT_number 71
_space_group_name_Hall '-I 2 2'
loop_
_atom_site_label
_atom_site_fract_x
_atom_site_fract_y
_atom_site_fract_z
_atom_site_occupancy
Sm1 0.0000 0.0000 0.1820 1
B1 0.0000 0.0000 0.5000 1
Ru1 0.0000 0.5000 0.1041 1
Ru2 0.0000 0.5000 0.5000 1
```

***

Entry 4:
Starting from the GGA-PBE geometry in Alexandria, the powder diffraction line list of Na2MgTa2 was computed for λ = 1.5418 Å (Cu Kα).
Peak positions follow from Bragg's law for the DFT cell and can differ from measured ones.

Main lines, sorted by position (10° ≤ 2θ ≤ 90°):
- (0 0 4), 2θ = 17.46°, I = 82
- (0 0 6), 2θ = 26.32°, I = 35
- (0 0 8), 2θ = 35.35°, I = 100
- (1 1 4), 2θ = 38.64°, I = 56
- (1 1 6), 2θ = 43.66°, I = 36
- (2 0 2), 2θ = 50.00°, I = 37

Structure:
```
data_Na2MgTa2
_chemical_formula_sum 'Na4 Mg2 Ta4'
_cell_length_a 3.7084
_cell_length_b 3.7084
_cell_length_c 20.3153
_cell_angle_alpha 90.00
_cell_angle_beta 90.00
_cell_angle_gamma 90.00
_space_group_name_H-M_alt 'I 4/m m m'
_space_group_IT_number 139
_space_group_name_Hall '-I 4 2'
loop_
_atom_site_label
_atom_site_fract_x
_atom_site_fract_y
_atom_site_fract_z
_atom_site_occupancy
Na1 0.0000 0.0000 0.1097 1
Mg1 0.0000 0.0000 0.5000 1
Ta1 0.0000 0.5000 0.2500 1
```

***

Entry 5:
Starting from the GGA-PBE geometry in Alexandria, the powder diffraction line list of LiTiCl3 was computed for λ = 1.5418 Å (Cu Kα).
Peak positions follow from Bragg's law for the DFT cell and can differ from measured ones.

Main lines, sorted by position (10° ≤ 2θ ≤ 90°):
- (0 2 0), 2θ = 10.79°, I = 51
- (0 1 1), 2θ = 14.24°, I = 100
- (1 1 1), 2θ = 25.37°, I = 37
- (0 0 2), 2θ = 26.53°, I = 39
- (1 3 1), 2θ = 29.74°, I = 68
- (0 6 0), 2θ = 32.76°, I = 37

Structure:
```
data_LiTiCl3
_chemical_formula_sum 'Li4 Ti4 Cl12'
_cell_length_a 4.2540
_cell_length_b 16.4035
_cell_length_c 6.7208
_cell_angle_alpha 90.00
_cell_angle_beta 90.00
_cell_angle_gamma 90.00
_space_group_name_H-M_alt 'A m a 2'
_space_group_IT_number 40
loop_
_space_group_symop_operation_xyz
'x,y,z'
'-x,-y,z'
'-x+1/2,y,z'
'x+1/2,-y,z'
'x,y+1/2,z+1/2'
'-x,-y+1/2,z+1/2'
'-x+1/2,y+1/2,z+1/2'
'x+1/2,-y+1/2,z+1/2'
loop_
_atom_site_label
_atom_site_fract_x
_atom_site_fract_y
_atom_site_fract_z
_atom_site_occupancy
Li1 0.2500 0.2289 0.0000 1
Ti1 0.2500 0.0595 0.6824 1
Cl1 0.2500 0.0859 0.0214 1
Cl2 0.2500 0.2212 0.6378 1
Cl3 0.2500 0.4280 0.9999 1
```

***

Entry 6:
Starting from the GGA-PBE geometry in Alexandria, the powder diffraction line list of Nd8YHo3 was computed for λ = 1.5418 Å (Cu Kα).
Peak positions follow from Bragg's law for the DFT cell and can differ from measured ones.

Main lines, sorted by position (10° ≤ 2θ ≤ 90°):
- (2 0 0), 2θ = 30.11°, I = 100
- (1 2 -1), 2θ = 34.88°, I = 34
- (2 0 3), 2θ = 34.96°, I = 17
- (3 2 2), 2θ = 50.18°, I = 30
- (2 4 1), 2θ = 59.60°, I = 25
- (4 0 3), 2θ = 59.72°, I = 18

Structure:
```
data_Nd8YHo3
_chemical_formula_sum 'Nd8 Y1 Ho3'
_cell_length_a 6.2940
_cell_length_b 7.2728
_cell_length_c 9.6120
_cell_angle_alpha 79.00
_cell_angle_beta 71.04
_cell_angle_gamma 89.96
_space_group_name_H-M_alt 'P 1'
_space_group_IT_number 1
loop_
_space_group_symop_operation_xyz
'x,y,z'
loop_
_atom_site_label
_atom_site_fract_x
_atom_site_fract_y
_atom_site_fract_z
_atom_site_occupancy
Nd1 0.0000 0.0000 0.0000 1
Nd2 0.9997 0.1660 0.3343 1
Nd3 0.0013 0.6668 0.3339 1
Nd4 0.0008 0.8333 0.6685 1
Nd5 0.4993 0.2495 0.0007 1
Nd6 0.4990 0.5836 0.6666 1
Nd7 0.4998 0.7500 0.0002 1
Nd8 0.5013 0.4155 0.3351 1
Y1 0.9986 0.3315 0.6691 1
Ho1 0.0009 0.4990 0.9998 1
Ho2 0.4989 0.9172 0.3359 1
Ho3 0.5016 0.0840 0.6658 1
```

***

Entry 7:
Starting from the GGA-PBE geometry in Alexandria, the powder diffraction line list of NaGeBi was computed for λ = 1.5418 Å (Cu Kα).
Peak positions follow from Bragg's law for the DFT cell and can differ from measured ones.

Main lines, sorted by position (10° ≤ 2θ ≤ 90°):
- (0 0 1), 2θ = 10.52°, I = 66
- (0 1 1), 2θ = 18.36°, I = 60
- (0 1 -1), 2θ = 22.67°, I = 67
- (1 0 1), 2θ = 25.03°, I = 100
- (1 1 2), 2θ = 33.32°, I = 53
- (1 0 -3), 2θ = 39.49°, I = 53

Structure:
```
data_NaGeBi
_chemical_formula_sum 'Na2 Ge2 Bi2'
_cell_length_a 3.9264
_cell_length_b 5.1582
_cell_length_c 8.6521
_cell_angle_alpha 76.47
_cell_angle_beta 89.96
_cell_angle_gamma 89.55
_space_group_name_H-M_alt 'P -1'
_space_group_IT_number 2
loop_
_space_group_symop_operation_xyz
'x,y,z'
'-x,-y,-z'
loop_
_atom_site_label
_atom_site_fract_x
_atom_site_fract_y
_atom_site_fract_z
_atom_site_occupancy
Na1 0.2465 0.2846 0.3614 1
Ge1 0.2483 0.6710 0.0155 1
Bi1 0.2544 0.1591 0.7629 1
```

***

Entry 8:
Starting from the GGA-PBE geometry in Alexandria, the powder diffraction line list of CaAcP2Pt4 was computed for λ = 1.5418 Å (Cu Kα).
Peak positions follow from Bragg's law for the DFT cell and can differ from measured ones.

Main lines, sorted by position (10° ≤ 2θ ≤ 90°):
- (0 0 2), 2θ = 20.45°, I = 27
- (1 1 0), 2θ = 28.07°, I = 17
- (1 1 2), 2θ = 34.98°, I = 100
- (2 0 0), 2θ = 40.11°, I = 41
- (2 0 4), 2θ = 59.16°, I = 22
- (3 1 2), 2θ = 69.58°, I = 28

Structure:
```
data_CaAcP2Pt4
_chemical_formula_sum 'Ca1 Ac1 P2 Pt4'
_cell_length_a 4.4959
_cell_length_b 4.4959
_cell_length_c 8.6848
_cell_angle_alpha 90.00
_cell_angle_beta 90.00
_cell_angle_gamma 90.00
_space_group_name_H-M_alt 'P 4/m m m'
_space_group_IT_number 123
_space_group_name_Hall '-P 4 2'
loop_
_atom_site_label
_atom_site_fract_x
_atom_site_fract_y
_atom_site_fract_z
_atom_site_occupancy
Ca1 0.0000 0.0000 0.0000 1
Ac1 0.0000 0.0000 0.5000 1
P1 0.5000 0.5000 0.1646 1
Pt1 0.0000 0.5000 0.2443 1
```